Record 1
Diffraction record for IrO3. The X-ray powder pattern is simulated, not measured: it uses DFT lattice parameters and positions (PBE) and Cu Kα (weighted mean of Kα1 and Kα2).
Kinematic intensities with the Lorentz-polarization factor, no thermal factor.

Principal peaks in the range 15 to 90 degrees two-theta, most intense first:
d/Å  2theta  intensity
4.501  19.72  100
2.557  35.09  51
4.271  20.80  38
2.058  44.00  28
3.761  23.66  26
2.433  36.95  18

Atomic structure:
```
data_IrO3
_chemical_formula_sum 'Ir4 O12'
_symmetry_space_group_name_H-M 'C 1 2/m 1'
_symmetry_Int_Tables_number 12
_cell_length_a 5.2099
_cell_length_b 9.0208
_cell_length_c 4.8337
_cell_angle_alpha 90.00
_cell_angle_beta 111.46
_cell_angle_gamma 90.00
loop_
_symmetry_equiv_pos_as_xyz
'x,y,z'
'-x,-y,-z'
'-x,y,-z'
'x,-y,z'
'x+1/2,y+1/2,z'
'-x+1/2,-y+1/2,-z'
'-x+1/2,y+1/2,-z'
'x+1/2,-y+1/2,z'
loop_
_atom_site_label
_atom_site_type_symbol
_atom_site_fract_x
_atom_site_fract_y
_atom_site_fract_z
Ir1 Ir 0.0000 0.1664 0.0000
O1 O 0.1953 0.0000 0.2317
O2 O 0.2311 0.1907 0.7706
```

---

Record 2
Diffraction record for ErAgPbS3. The X-ray powder pattern is simulated, not measured: it uses DFT lattice parameters and positions (PBE) and Cu Kα (weighted mean of Kα1 and Kα2).
Kinematic intensities with the Lorentz-polarization factor, no thermal factor.

Principal peaks in the range 15 to 90 degrees two-theta, most intense first:
d/Å  2theta  intensity
2.849  31.40  100
2.575  34.84  89
4.087  21.74  64
3.090  28.90  57
3.294  27.07  49
2.606  34.42  40

Atomic structure:
```
data_ErAgPbS3
_chemical_formula_sum 'Er4 Ag4 Pb4 S12'
_symmetry_space_group_name_H-M 'P n m a'
_symmetry_Int_Tables_number 62
_cell_length_a 10.4222
_cell_length_b 4.0105
_cell_length_c 13.1771
_cell_angle_alpha 90.00
_cell_angle_beta 90.00
_cell_angle_gamma 90.00
loop_
_symmetry_equiv_pos_as_xyz
'x,y,z'
'-x,-y,-z'
'-x+1/2,-y,z+1/2'
'x+1/2,y,-z+1/2'
'x+1/2,-y+1/2,-z+1/2'
'-x+1/2,y+1/2,z+1/2'
'-x,y+1/2,-z'
'x,-y+1/2,z'
loop_
_atom_site_label
_atom_site_type_symbol
_atom_site_fract_x
_atom_site_fract_y
_atom_site_fract_z
Er1 Er 0.0197 0.2500 0.2405
Ag1 Ag 0.2343 0.2500 0.7169
Pb1 Pb 0.2184 0.7500 0.4983
S1 S 0.0300 0.2500 0.6167
S2 S 0.0724 0.7500 0.1079
S3 S 0.2336 0.7500 0.8384
```

---

Record 3
Diffraction record for SrIn6Ir. The X-ray powder pattern is simulated, not measured: it uses DFT lattice parameters and positions (PBE) and Cu Kα (weighted mean of Kα1 and Kα2).
Kinematic intensities with the Lorentz-polarization factor, no thermal factor.

Principal peaks in the range 15 to 90 degrees two-theta, most intense first:
d/Å  2theta  intensity
2.187  41.28  100
2.633  34.06  94
2.324  38.74  87
3.062  29.16  85
2.944  30.36  76
2.658  33.71  68

Atomic structure:
```
data_SrIn6Ir
_chemical_formula_sum 'Sr2 In12 Ir2'
_symmetry_space_group_name_H-M 'P m m a'
_symmetry_Int_Tables_number 51
_cell_length_a 8.5767
_cell_length_b 4.3750
_cell_length_c 10.7108
_cell_angle_alpha 90.00
_cell_angle_beta 90.00
_cell_angle_gamma 90.00
loop_
_symmetry_equiv_pos_as_xyz
'x,y,z'
'-x,-y,-z'
'-x+1/2,-y,z'
'x+1/2,y,-z'
'x+1/2,-y,-z'
'-x+1/2,y,z'
'-x,y,-z'
'x,-y,z'
loop_
_atom_site_label
_atom_site_type_symbol
_atom_site_fract_x
_atom_site_fract_y
_atom_site_fract_z
Sr1 Sr 0.2500 0.0000 0.2060
In1 In 0.0000 0.0000 0.5000
In2 In 0.0000 0.5000 0.0000
In3 In 0.0596 0.5000 0.7205
In4 In 0.2500 0.0000 0.8988
In5 In 0.2500 0.5000 0.4565
Ir1 Ir 0.2500 0.0000 0.6429
```